Starting from a cell relaxed with PBE, the PXRD pattern of AcTb2Pr5Sm was simulated for copper Kα.

Crystal structure
Cell: 5.6558 24.6014 9.5982 Å, 90.00 90.00 90.00°
Space group Cmc2_1 (No. 36)
Unique sites:
1 Ac 0.0000 0.1025 0.0000 [4 per cell]
2 Tb 0.0000 0.3277 0.2478 [4 per cell]
3 Tb 0.0000 0.3880 0.8590 [4 per cell]
4 Pr 0.0000 0.0243 0.3263 [4 per cell]
5 Pr 0.0000 0.1052 0.6058 [4 per cell]
6 Pr 0.0000 0.1894 0.2980 [4 per cell]
7 Pr 0.0000 0.2410 0.9325 [4 per cell]
8 Pr 0.0000 0.4921 0.1058 [4 per cell]
9 Sm 0.0000 0.2643 0.6078 [4 per cell]

Principal peaks in the range 5 to 70 degrees two-theta, sorted by position:
hkl  2θ (°)  I/Imax
1 3 2  26.68  29.5
0 6 2  28.64  26.9
0 2 3  28.83  25.6
1 5 2  30.45  100.0
1 7 1  31.38  94.1
2 0 0  31.64  70.1
1 1 3  32.35  63.4
1 9 4  53.34  17.9
3 5 2  55.61  18.0
3 7 1  56.20  21.5